Entry 1:
K3NaO6: computed powder diffractogram (CuKα), based on a GGA-PBE-relaxed structure.
No peak broadening, texture or thermal motion is included.

Most intense lines, 10 to 90 degrees two-theta, by angle:
2θ/deg  intensity
27.8  11
31.8  17
34.0  100
35.7  18
38.9  39
47.0  17
53.2  8
57.4  13
58.1  8
60.4  6

Atomic structure:
Cell lengths 7.242, 7.242, 7.242 Å; angles 106.08, 106.08, 106.08 degrees
Sites, in units of the cell vectors:
K 0.182 0.750 0.318
K 0.250 0.682 0.818
K 0.318 0.182 0.750
K 0.682 0.818 0.250
K 0.750 0.318 0.182
K 0.818 0.250 0.682
Na 0.000 0.000 0.000
Na 0.500 0.500 0.500
O 0.011 0.146 0.361
O 0.139 0.354 0.489
O 0.146 0.361 0.011
O 0.354 0.489 0.139
O 0.361 0.011 0.146
O 0.489 0.139 0.354
O 0.511 0.861 0.646
O 0.639 0.989 0.854
O 0.646 0.511 0.861
O 0.854 0.639 0.989
O 0.861 0.646 0.511
O 0.989 0.854 0.639

Entry 2:
K2Na3O2: computed powder diffractogram (CuKα), based on a GGA-PBE-relaxed structure.
No peak broadening, texture or thermal motion is included.

Most intense lines, 10 to 90 degrees two-theta, by angle:
2θ/deg  intensity
10.5  100
28.4  22
29.7  34
31.5  25
35.3  24
38.1  25
39.3  15
41.3  16
43.4  28
51.1  16

Atomic structure:
Cell lengths 6.017, 6.017, 8.529 Å; angles 99.11, 99.11, 33.13 degrees
Sites, in units of the cell vectors:
K 0.192 0.192 0.336
K 0.808 0.808 0.664
Na 0.394 0.394 0.173
Na 0.500 0.500 0.500
Na 0.606 0.606 0.827
O 0.129 0.129 0.649
O 0.871 0.871 0.351

Copy entry 1 word for word.
K3NaO6: computed powder diffractogram (CuKα), based on a GGA-PBE-relaxed structure.
No peak broadening, texture or thermal motion is included.

Most intense lines, 10 to 90 degrees two-theta, by angle:
2θ/deg  intensity
27.8  11
31.8  17
34.0  100
35.7  18
38.9  39
47.0  17
53.2  8
57.4  13
58.1  8
60.4  6

Atomic structure:
Cell lengths 7.242, 7.242, 7.242 Å; angles 106.08, 106.08, 106.08 degrees
Sites, in units of the cell vectors:
K 0.182 0.750 0.318
K 0.250 0.682 0.818
K 0.318 0.182 0.750
K 0.682 0.818 0.250
K 0.750 0.318 0.182
K 0.818 0.250 0.682
Na 0.000 0.000 0.000
Na 0.500 0.500 0.500
O 0.011 0.146 0.361
O 0.139 0.354 0.489
O 0.146 0.361 0.011
O 0.354 0.489 0.139
O 0.361 0.011 0.146
O 0.489 0.139 0.354
O 0.511 0.861 0.646
O 0.639 0.989 0.854
O 0.646 0.511 0.861
O 0.854 0.639 0.989
O 0.861 0.646 0.511
O 0.989 0.854 0.639